(1)
Structure and simulated powder diffraction line list of GaHg14I (a crystal structure in Alexandria, relaxed with GGA-PBE; Cu Kα (weighted mean of Kα1 and Kα2)).
Neutral-atom scattering factors, no anomalous dispersion.

Atomic structure:
Unit cell a=10.879 b=6.456 c=13.745 alpha=90.00 beta=90.00 gamma=90.00
Space group Amm2 (No. 38)
Unique sites:
Ga1 0.000 0.000 0.000
Hg1 0.000 0.245 0.307
Hg2 0.205 0.000 0.155
Hg3 0.253 0.000 0.714
Hg4 0.267 0.245 0.438
Hg5 0.500 0.000 0.072
Hg6 0.500 0.000 0.566
Hg7 0.500 0.244 0.293
I1 0.000 0.000 0.557

Largest 8 diffraction maxima, sorted by position, 2θ = 10–90°:
2theta  Rel. int.
28.99  15
30.60  57
30.78  100
32.93  45
34.86  95
45.57  29
60.07  32
66.24  23


(2)
Structure and simulated powder diffraction line list of Ga3HgI3 (a crystal structure in Alexandria, relaxed with GGA-PBE; Cu Kα (weighted mean of Kα1 and Kα2)).
Neutral-atom scattering factors, no anomalous dispersion.

Atomic structure:
Unit cell a=8.023 b=8.184 c=9.271 alpha=80.70 beta=72.67 gamma=69.89
Space group P-1 (No. 2)
Unique sites:
Ga1 0.023 0.272 0.411
Ga2 0.319 0.404 0.906
Ga3 0.336 0.951 0.744
Hg1 0.164 0.340 0.663
I1 0.025 0.761 0.901
I2 0.305 0.904 0.434
I3 0.369 0.411 0.227

Largest 8 diffraction maxima, sorted by position, 2θ = 10–90°:
2theta  Rel. int.
22.70  17
23.91  35
28.39  42
29.57  100
36.52  43
39.00  23
45.96  22
48.94  18


(3)
Structure and simulated powder diffraction line list of GaHg5I (a crystal structure in Alexandria, relaxed with GGA-PBE; Cu Kα (weighted mean of Kα1 and Kα2)).
Neutral-atom scattering factors, no anomalous dispersion.

Atomic structure:
Unit cell a=11.654 b=7.209 c=11.231 alpha=90.00 beta=119.07 gamma=90.00
Space group C2/c (No. 15)
Unique sites:
Ga1 0.000 0.000 0.000
Hg1 0.000 0.002 0.250
Hg2 0.179 0.299 0.085
Hg3 0.195 0.281 0.602
I1 0.000 0.498 0.750

Largest 8 diffraction maxima, sorted by position, 2θ = 10–90°:
2theta  Rel. int.
30.38  79
30.73  100
30.84  46
31.87  63
44.55  28
44.68  37
54.17  16
54.31  15


- Which formula does entry 3 have?
  GaHg5I


What did the first record say?
Structure and simulated powder diffraction line list of GaHg14I (a crystal structure in Alexandria, relaxed with GGA-PBE; Cu Kα (weighted mean of Kα1 and Kα2)).
Neutral-atom scattering factors, no anomalous dispersion.

Atomic structure:
Unit cell a=10.879 b=6.456 c=13.745 alpha=90.00 beta=90.00 gamma=90.00
Space group Amm2 (No. 38)
Unique sites:
Ga1 0.000 0.000 0.000
Hg1 0.000 0.245 0.307
Hg2 0.205 0.000 0.155
Hg3 0.253 0.000 0.714
Hg4 0.267 0.245 0.438
Hg5 0.500 0.000 0.072
Hg6 0.500 0.000 0.566
Hg7 0.500 0.244 0.293
I1 0.000 0.000 0.557

Largest 8 diffraction maxima, sorted by position, 2θ = 10–90°:
2theta  Rel. int.
28.99  15
30.60  57
30.78  100
32.93  45
34.86  95
45.57  29
60.07  32
66.24  23